1.
Diffraction record for MnAl2F8. The PXRD pattern is computed, not measured: it uses the PBE+U geometry in Alexandria and a wavelength of 1.5418 Å.
No peak broadening, texture or thermal motion is included.

Crystal structure
a b c (Å): 5.7613 5.7613 6.3202
angles (deg): 90.00 90.00 120.00
Space group P-3m1 (No. 164)
Inequivalent atoms, fractional coordinates:
1 Mn 0.0000 0.0000 0.0000 [1 per cell]
2 Al 0.3333 0.6667 0.2961 [2 per cell]
3 F 0.1748 0.3495 0.1933 [6 per cell]
4 F 0.3333 0.6667 0.5608 [2 per cell]

Peak list (10 most intense, 5° ≤ 2θ ≤ 70°, sorted by position)
| two_theta | Rel. int. |
| --- | --- |
| 14.01 | 8 |
| 22.71 | 100 |
| 31.05 | 22 |
| 33.57 | 10 |
| 38.81 | 14 |
| 46.37 | 17 |
| 46.81 | 7 |
| 50.50 | 19 |
| 53.92 | 9 |
| 64.72 | 11 |

***

2.
Diffraction record for Al2MoF8. The PXRD pattern is computed, not measured: it uses the PBE+U geometry in Alexandria and a wavelength of 1.5418 Å.
No peak broadening, texture or thermal motion is included.

Crystal structure
a b c (Å): 6.5523 6.5523 3.7288
angles (deg): 90.00 90.00 120.00
Space group P-3m1 (No. 164)
Inequivalent atoms, fractional coordinates:
1 Al 0.3333 0.6667 0.2559 [2 per cell]
2 Mo 0.0000 0.0000 0.5000 [1 per cell]
3 F 0.1811 0.3622 0.2528 [6 per cell]
4 F 0.3333 0.6667 0.7563 [2 per cell]

Peak list (10 most intense, 5° ≤ 2θ ≤ 70°, sorted by position)
| two_theta | Rel. int. |
| --- | --- |
| 15.62 | 50 |
| 27.22 | 100 |
| 28.65 | 91 |
| 36.51 | 36 |
| 39.93 | 47 |
| 42.13 | 21 |
| 49.00 | 34 |
| 51.60 | 25 |
| 56.15 | 40 |
| 59.31 | 32 |